No. 1
Diffraction record for Sc2GaPd8. The powder diffraction line list is computed, not measured: it uses a cell relaxed with PBE and copper Kα.
No peak broadening, texture or thermal motion is included.

The 10 most intense peaks (10 to 90 degrees two-theta), sorted by position:
two_theta	d_spacing	I/Imax	hkl
28.20	3.165	9	1 1 2
38.44	2.342	23	1 0 5
39.38	2.288	18	0 0 6
40.20	2.243	33	2 0 0
41.70	2.166	100	1 2 3
57.53	1.602	11	2 0 6
62.69	1.482	10	0 2 8
74.08	1.280	17	3 2 3
77.14	1.237	15	2 2 8
77.68	1.229	9	2 4 0

Structure:
```
data_Sc2GaPd8
_chemical_formula_sum 'Sc4 Ga2 Pd16'
_symmetry_space_group_name_H-M 'I m m m'
_symmetry_Int_Tables_number 71
_symmetry_space_group_name_Hall '-I 2 2'
_cell_length_a 4.487
_cell_length_b 5.878
_cell_length_c 13.729
_cell_angle_alpha 90.00
_cell_angle_beta 90.00
_cell_angle_gamma 90.00
loop_
_atom_site_label
_atom_site_type_symbol
_atom_site_fract_x
_atom_site_fract_y
_atom_site_fract_z
Sc1 Sc 0.000 0.000 0.190
Ga1 Ga 0.000 0.000 0.500
Pd1 Pd 0.000 0.243 0.000
Pd2 Pd 0.000 0.264 0.362
Pd3 Pd 0.000 0.500 0.181
```

---

No. 2
Diffraction record for Dy2IrCl2. The powder diffraction line list is computed, not measured: it uses a cell relaxed with PBE and copper Kα.
No peak broadening, texture or thermal motion is included.

The 10 most intense peaks (10 to 90 degrees two-theta), sorted by position:
two_theta	d_spacing	I/Imax	hkl
29.38	3.040	32	0 0 2
31.24	2.863	100	5 1 -1
32.69	2.739	45	2 0 2
36.31	2.474	27	5 1 1
36.52	2.461	41	7 1 -1
36.73	2.447	27	7 1 0
38.46	2.340	24	5 1 -2
42.69	2.118	38	7 1 1
45.12	2.009	27	0 2 0
48.79	1.866	31	12 0 -1

Structure:
```
data_Dy2IrCl2
_chemical_formula_sum 'Dy8 Ir4 Cl8'
_symmetry_space_group_name_H-M 'C 1 2/m 1'
_symmetry_Int_Tables_number 12
_symmetry_space_group_name_Hall '-C 2y'
_cell_length_a 22.421
_cell_length_b 4.019
_cell_length_c 6.315
_cell_angle_alpha 90.00
_cell_angle_beta 105.68
_cell_angle_gamma 90.00
loop_
_atom_site_label
_atom_site_type_symbol
_atom_site_fract_x
_atom_site_fract_y
_atom_site_fract_z
Dy1 Dy 0.154 0.000 0.288
Dy2 Dy 0.190 0.500 0.827
Ir1 Ir 0.241 0.500 0.318
Cl1 Cl 0.084 0.500 0.406
Cl2 Cl 0.099 0.000 0.860
```

---

No. 3
Diffraction record for Pm7IrPt2. The powder diffraction line list is computed, not measured: it uses a cell relaxed with PBE and copper Kα.
No peak broadening, texture or thermal motion is included.

The 10 most intense peaks (10 to 90 degrees two-theta), sorted by position:
two_theta	d_spacing	I/Imax	hkl
16.34	5.426	14	2 0 0
23.18	3.837	34	2 2 0
28.49	3.133	66	2 2 2
33.02	2.713	100	4 0 0
40.73	2.215	16	4 2 2
47.39	1.918	73	4 4 0
56.23	1.636	30	6 2 2
58.97	1.566	25	4 4 4
78.90	1.213	33	8 4 0
88.22	1.108	26	8 4 4

Structure:
```
data_Pm7IrPt2
_chemical_formula_sum 'Pm28 Ir4 Pt8'
_symmetry_space_group_name_H-M 'F m -3 m'
_symmetry_Int_Tables_number 225
_symmetry_space_group_name_Hall '-F 4 2 3'
_cell_length_a 10.852
_cell_length_b 10.852
_cell_length_c 10.852
_cell_angle_alpha 90.00
_cell_angle_beta 90.00
_cell_angle_gamma 90.00
loop_
_atom_site_label
_atom_site_type_symbol
_atom_site_fract_x
_atom_site_fract_y
_atom_site_fract_z
Pm1 Pm 0.000 0.000 0.000
Pm2 Pm 0.000 0.000 0.254
Ir1 Ir 0.000 0.000 0.500
Pt1 Pt 0.250 0.250 0.250
```

---

No. 4
Diffraction record for Pr3DyHg2. The powder diffraction line list is computed, not measured: it uses a cell relaxed with PBE and copper Kα.
No peak broadening, texture or thermal motion is included.

The 10 most intense peaks (10 to 90 degrees two-theta), sorted by position:
two_theta	d_spacing	I/Imax	hkl
27.90	3.198	21	1 2 1
30.28	2.951	26	1 0 2
31.28	2.860	32	0 2 2
31.70	2.823	100	1 1 2
32.44	2.760	94	1 3 0
33.63	2.665	61	2 0 0
41.46	2.178	20	1 3 2
46.59	1.949	21	2 2 2
58.93	1.567	17	3 1 2
59.39	1.556	17	3 3 0

Structure:
```
data_Pr3DyHg2
_chemical_formula_sum 'Pr6 Dy2 Hg4'
_symmetry_space_group_name_H-M 'P m c 21'
_symmetry_Int_Tables_number 26
_symmetry_space_group_name_Hall 'P 2c -2'
_cell_length_a 5.329
_cell_length_b 9.680
_cell_length_c 7.089
_cell_angle_alpha 90.00
_cell_angle_beta 90.00
_cell_angle_gamma 90.00
loop_
_atom_site_label
_atom_site_type_symbol
_atom_site_fract_x
_atom_site_fract_y
_atom_site_fract_z
Pr1 Pr 0.000 0.052 0.000
Pr2 Pr 0.000 0.331 0.333
Pr3 Pr 0.500 0.177 0.690
Dy1 Dy 0.500 0.447 0.027
Hg1 Hg 0.000 0.351 0.788
Hg2 Hg 0.500 0.154 0.239
```

---

No. 5
Diffraction record for NdMn5C4. The powder diffraction line list is computed, not measured: it uses a cell relaxed with PBE and copper Kα.
No peak broadening, texture or thermal motion is included.

The 10 most intense peaks (10 to 90 degrees two-theta), sorted by position:
two_theta	d_spacing	I/Imax	hkl
23.81	3.737	21	1 1 0
27.25	3.272	24	0 1 2
28.77	3.104	29	1 1 1
34.60	2.592	48	0 0 3
35.24	2.547	100	1 2 -1
37.44	2.402	23	1 1 -3
37.64	2.390	27	0 2 2
37.90	2.374	28	2 0 0
38.79	2.322	29	1 2 1
54.70	1.678	22	1 2 -4

Structure:
```
data_NdMn5C4
_chemical_formula_sum 'Nd2 Mn10 C8'
_symmetry_space_group_name_H-M 'P 1 21/m 1'
_symmetry_Int_Tables_number 11
_symmetry_space_group_name_Hall '-P 2yb'
_cell_length_a 4.961
_cell_length_b 6.059
_cell_length_c 8.125
_cell_angle_alpha 90.00
_cell_angle_beta 106.83
_cell_angle_gamma 90.00
loop_
_atom_site_label
_atom_site_type_symbol
_atom_site_fract_x
_atom_site_fract_y
_atom_site_fract_z
Nd1 Nd 0.178 0.250 0.169
Mn1 Mn 0.247 0.750 0.261
Mn2 Mn 0.271 0.001 0.530
Mn3 Mn 0.342 0.034 0.857
C1 C 0.018 0.038 0.672
C2 C 0.409 0.750 0.996
C3 C 0.498 0.250 0.500
```

---

No. 6
Diffraction record for Ce2P3Pt9. The powder diffraction line list is computed, not measured: it uses a cell relaxed with PBE and copper Kα.
No peak broadening, texture or thermal motion is included.

The 10 most intense peaks (10 to 90 degrees two-theta), sorted by position:
two_theta	d_spacing	I/Imax	hkl
22.37	3.974	13	3 1 -1
29.97	2.981	22	3 1 -3
35.20	2.549	49	5 1 -1
37.65	2.389	47	3 1 -4
38.20	2.356	100	3 1 2
38.44	2.342	19	4 2 -3
39.03	2.308	23	6 0 -2
39.73	2.268	49	3 3 -1
46.63	1.948	12	3 1 -5
71.10	1.326	21	3 5 -4

Structure:
```
data_Ce2P3Pt9
_chemical_formula_sum 'Ce8 P12 Pt36'
_symmetry_space_group_name_H-M 'C 1 2/c 1'
_symmetry_Int_Tables_number 15
_symmetry_space_group_name_Hall '-C 2yc'
_cell_length_a 13.848
_cell_length_b 7.815
_cell_length_c 10.073
_cell_angle_alpha 90.00
_cell_angle_beta 118.29
_cell_angle_gamma 90.00
loop_
_atom_site_label
_atom_site_type_symbol
_atom_site_fract_x
_atom_site_fract_y
_atom_site_fract_z
Ce1 Ce 0.172 0.079 0.241
P1 P 0.100 0.223 0.487
P2 P 0.250 0.250 0.000
Pt1 Pt 0.000 0.367 0.250
Pt2 Pt 0.073 0.067 0.914
Pt3 Pt 0.085 0.311 0.698
Pt4 Pt 0.120 0.391 0.081
Pt5 Pt 0.218 0.423 0.425
```

---

No. 7
Diffraction record for LaSmNiAu. The powder diffraction line list is computed, not measured: it uses a cell relaxed with PBE and copper Kα.
No peak broadening, texture or thermal motion is included.

The 10 most intense peaks (10 to 90 degrees two-theta), sorted by position:
two_theta	d_spacing	I/Imax	hkl
30.74	2.909	100	1 1 1
33.55	2.671	23	0 0 4
33.88	2.646	30	0 1 3
38.37	2.346	32	2 0 0
38.80	2.321	25	1 0 4
39.09	2.304	67	1 1 3
45.92	1.976	19	0 2 0
52.11	1.755	18	2 1 3
61.34	1.511	16	2 2 0
78.60	1.217	15	2 1 7

Structure:
```
data_LaSmNiAu
_chemical_formula_sum 'La2 Sm2 Ni2 Au2'
_symmetry_space_group_name_H-M 'A m m 2'
_symmetry_Int_Tables_number 38
_symmetry_space_group_name_Hall 'A 2 -2'
_cell_length_a 4.692
_cell_length_b 3.952
_cell_length_c 10.683
_cell_angle_alpha 90.00
_cell_angle_beta 90.00
_cell_angle_gamma 90.00
loop_
_atom_site_label
_atom_site_type_symbol
_atom_site_fract_x
_atom_site_fract_y
_atom_site_fract_z
La1 La 0.000 0.000 0.000
Sm1 Sm 0.500 0.000 0.721
Ni1 Ni 0.000 0.000 0.277
Au1 Au 0.500 0.000 0.434
```

---

No. 8
Diffraction record for NpGa3PtAu. The powder diffraction line list is computed, not measured: it uses a cell relaxed with PBE and copper Kα.
No peak broadening, texture or thermal motion is included.

The 10 most intense peaks (10 to 90 degrees two-theta), sorted by position:
two_theta	d_spacing	I/Imax	hkl
19.14	4.637	47	0 2 1
22.11	4.021	43	1 3 0
27.26	3.271	78	1 3 1
30.09	2.970	56	2 0 0
31.82	2.812	48	0 0 2
35.10	2.556	43	1 5 1
37.39	2.405	55	2 4 0
38.84	2.319	50	0 4 2
44.36	2.042	92	2 0 2
44.61	2.031	100	1 7 1

Structure:
```
data_NpGa3PtAu
_chemical_formula_sum 'Np4 Ga12 Pt4 Au4'
_symmetry_space_group_name_H-M 'C m c m'
_symmetry_Int_Tables_number 63
_symmetry_space_group_name_Hall '-C 2c 2'
_cell_length_a 5.941
_cell_length_b 16.389
_cell_length_c 5.624
_cell_angle_alpha 90.00
_cell_angle_beta 90.00
_cell_angle_gamma 90.00
loop_
_atom_site_label
_atom_site_type_symbol
_atom_site_fract_x
_atom_site_fract_y
_atom_site_fract_z
Np1 Np 0.000 0.164 0.250
Ga1 Ga 0.000 0.251 0.750
Ga2 Ga 0.239 0.000 0.000
Pt1 Pt 0.000 0.101 0.750
Au1 Au 0.000 0.403 0.750
```

---

No. 9
Diffraction record for ThTeH2. The powder diffraction line list is computed, not measured: it uses a cell relaxed with PBE and copper Kα.
No peak broadening, texture or thermal motion is included.

The 10 most intense peaks (10 to 90 degrees two-theta), sorted by position:
two_theta	d_spacing	I/Imax	hkl
27.83	3.206	78	1 0 1
29.02	3.077	66	0 2 0
31.46	2.843	100	1 1 1
36.38	2.469	74	0 1 2
40.64	2.220	59	1 2 1
52.99	1.728	24	1 3 1
54.87	1.673	23	2 2 0
58.28	1.583	23	1 1 3
59.60	1.551	37	2 1 2
75.23	1.263	26	2 3 2

Structure:
```
data_ThTeH2
_chemical_formula_sum 'Th2 Te2 H4'
_symmetry_space_group_name_H-M 'P m m n'
_symmetry_Int_Tables_number 59
_cell_length_a 3.988
_cell_length_b 6.154
_cell_length_c 5.391
_cell_angle_alpha 90.00
_cell_angle_beta 90.00
_cell_angle_gamma 90.00
loop_
_symmetry_equiv_pos_as_xyz
'x,y,z'
'-x,-y,-z'
'-x+1/2,-y+1/2,z'
'x+1/2,y+1/2,-z'
'x+1/2,-y,-z'
'-x+1/2,y,z'
'-x,y+1/2,-z'
'x,-y+1/2,z'
loop_
_atom_site_label
_atom_site_type_symbol
_atom_site_fract_x
_atom_site_fract_y
_atom_site_fract_z
Th1 Th 0.250 0.250 0.135
Te1 Te 0.250 0.750 0.377
H1 H 0.250 0.557 0.890
```

---

No. 10
Diffraction record for Sn2HgAu4. The powder diffraction line list is computed, not measured: it uses a cell relaxed with PBE and copper Kα.
No peak broadening, texture or thermal motion is included.

The 10 most intense peaks (10 to 90 degrees two-theta), sorted by position:
two_theta	d_spacing	I/Imax	hkl
29.31	3.047	66	2 0 0
30.90	2.893	67	1 1 2
32.75	2.735	86	2 0 -2
33.38	2.684	79	0 2 1
34.98	2.565	77	1 1 -3
37.23	2.415	100	1 2 1
38.21	2.355	56	2 0 2
38.93	2.313	60	1 1 3
41.81	2.161	57	1 2 2
43.86	2.064	86	2 2 -1

Structure:
```
data_Sn2HgAu4
_chemical_formula_sum 'Sn4 Hg2 Au8'
_symmetry_space_group_name_H-M 'P 1 21/m 1'
_symmetry_Int_Tables_number 11
_symmetry_space_group_name_Hall '-P 2yb'
_cell_length_a 6.174
_cell_length_b 5.626
_cell_length_c 9.125
_cell_angle_alpha 90.00
_cell_angle_beta 99.19
_cell_angle_gamma 90.00
loop_
_atom_site_label
_atom_site_type_symbol
_atom_site_fract_x
_atom_site_fract_y
_atom_site_fract_z
Sn1 Sn 0.084 0.250 0.367
Sn2 Sn 0.283 0.750 0.017
Hg1 Hg 0.163 0.250 0.853
Au1 Au 0.268 0.750 0.320
Au2 Au 0.325 0.503 0.611
Au3 Au 0.373 0.250 0.156
```

---

No. 11
Diffraction record for Na2CoH6Pd. The powder diffraction line list is computed, not measured: it uses a cell relaxed with PBE and copper Kα.
No peak broadening, texture or thermal motion is included.

The 10 most intense peaks (10 to 90 degrees two-theta), sorted by position:
two_theta	d_spacing	I/Imax	hkl
20.80	4.271	100	1 0 0
27.53	3.240	19	1 0 1
36.44	2.466	49	1 1 0
42.04	2.149	49	0 1 2
42.33	2.135	14	2 0 0
52.24	1.751	12	1 1 2
56.83	1.620	20	2 0 2
57.05	1.614	11	2 1 0
65.58	1.424	8	3 0 0
69.41	1.354	21	1 2 2

Structure:
```
data_Na2CoH6Pd
_chemical_formula_sum 'Na2 Co1 H6 Pd1'
_symmetry_space_group_name_H-M 'P -3 m 1'
_symmetry_Int_Tables_number 164
_symmetry_space_group_name_Hall '-P 3 2"'
_cell_length_a 4.9315
_cell_length_b 4.9315
_cell_length_c 4.9744
_cell_angle_alpha 90.00
_cell_angle_beta 90.00
_cell_angle_gamma 120.00
loop_
_atom_site_label
_atom_site_type_symbol
_atom_site_fract_x
_atom_site_fract_y
_atom_site_fract_z
Na1 Na 0.3333 0.6667 0.2051
Co1 Co 0.0000 0.0000 0.0000
H1 H 0.1417 0.2833 0.7855
Pd1 Pd 0.0000 0.0000 0.5000
```

---

No. 12
Diffraction record for KSn2Au4. The powder diffraction line list is computed, not measured: it uses a cell relaxed with PBE and copper Kα.
No peak broadening, texture or thermal motion is included.

The 10 most intense peaks (10 to 90 degrees two-theta), sorted by position:
two_theta	d_spacing	I/Imax	hkl
13.84	6.396	82	1 1 0
31.22	2.865	100	2 1 1
35.75	2.512	51	2 2 1
37.14	2.421	30	3 0 1
38.50	2.339	81	3 1 1
41.14	2.194	38	4 1 0
42.37	2.133	21	3 3 0
44.63	2.030	27	0 0 2
62.31	1.490	23	4 1 2
78.37	1.220	21	5 5 1

Structure:
```
data_KSn2Au4
_chemical_formula_sum 'K2 Sn4 Au8'
_symmetry_space_group_name_H-M 'P 42/m n m'
_symmetry_Int_Tables_number 136
_symmetry_space_group_name_Hall '-P 4n 2n'
_cell_length_a 9.046
_cell_length_b 9.046
_cell_length_c 4.060
_cell_angle_alpha 90.00
_cell_angle_beta 90.00
_cell_angle_gamma 90.00
loop_
_atom_site_label
_atom_site_type_symbol
_atom_site_fract_x
_atom_site_fract_y
_atom_site_fract_z
K1 K 0.000 0.000 0.000
Sn1 Sn 0.233 0.233 0.500
Au1 Au 0.060 0.667 0.500
```